No. 1
Starting from a crystal structure in Alexandria, relaxed with PBE, the XRD peak list of Y2BeCrPt6 was simulated for Cu Kα (weighted mean of Kα1 and Kα2).
Intensities are scaled so that the largest is 100.

a b c (Å): 5.6221 5.6221 20.3194
angles (deg): 90.00 90.00 120.00
Space group R-3m (No. 166, hexagonal axes)
Unique sites:
Y1 0.0000 0.0000 0.2075 [6 per cell]
Be1 0.0000 0.0000 0.0000 [3 per cell]
Cr1 0.0000 0.0000 0.5000 [3 per cell]
Pt1 0.0071 0.5036 0.2631 [18 per cell]

Most intense lines, 2θ = 15–90°, by angle:
20.2°, I = 25, hkl 0 1 2
26.3°, I = 51, hkl 0 0 6
28.6°, I = 14, hkl 0 1 5
38.0°, I = 100, hkl 2 0 2
41.1°, I = 81, hkl 0 2 4
41.8°, I = 16, hkl 1 1 6
52.0°, I = 27, hkl 2 0 8
66.5°, I = 25, hkl 2 2 0
71.8°, I = 13, hkl 0 2 13
72.9°, I = 18, hkl 2 2 6

No. 2
Starting from a crystal structure in Alexandria, relaxed with PBE, the XRD peak list of Be17CrRe was simulated for Cu Kα (weighted mean of Kα1 and Kα2).
Intensities are scaled so that the largest is 100.

a b c (Å): 7.2249 7.2249 10.5409
angles (deg): 90.00 90.00 120.00
Space group R3m (No. 160, hexagonal axes)
Unique sites:
Be1 0.0000 0.0000 0.0527 [3 per cell]
Be2 0.0000 0.0000 0.2565 [3 per cell]
Be3 0.9995 0.3028 0.1542 [18 per cell]
Be4 0.0076 0.5038 0.3079 [9 per cell]
Be5 0.1670 0.3340 0.9885 [9 per cell]
Be6 0.1704 0.3408 0.3333 [9 per cell]
Cr1 0.0000 0.0000 0.8130 [3 per cell]
Re1 0.0000 0.0000 0.4944 [3 per cell]

Most intense lines, 2θ = 15–90°, by angle:
16.5°, I = 100, hkl 1 0 1
22.1°, I = 46, hkl 0 1 2
24.6°, I = 72, hkl 1 1 0
25.3°, I = 23, hkl 0 0 3
29.8°, I = 27, hkl 0 2 1
35.6°, I = 67, hkl 1 1 3
39.0°, I = 26, hkl 2 1 1
41.9°, I = 20, hkl 1 2 2
43.4°, I = 25, hkl 3 0 0
50.9°, I = 35, hkl 0 3 3

No. 3
Starting from a crystal structure in Alexandria, relaxed with PBE, the XRD peak list of Be2Cr2Re was simulated for Cu Kα (weighted mean of Kα1 and Kα2).
Intensities are scaled so that the largest is 100.

a b c (Å): 6.026 6.026 2.929
angles (deg): 90.00 90.00 90.00
Space group P4/mbm (No. 127)
Unique sites:
Be1 0.120 0.380 0.000 [4 per cell]
Cr1 0.175 0.675 0.500 [4 per cell]
Re1 0.000 0.000 0.000 [2 per cell]

Most intense lines, 2θ = 15–90°, by angle:
20.8°, I = 100, hkl 1 1 0
29.7°, I = 26, hkl 2 0 0
37.3°, I = 79, hkl 1 1 1
42.4°, I = 34, hkl 2 2 0
43.1°, I = 81, hkl 2 0 1
47.7°, I = 55, hkl 3 1 0
57.7°, I = 24, hkl 3 1 1
74.2°, I = 20, hkl 3 3 1
83.2°, I = 22, hkl 3 1 2
89.4°, I = 17, hkl 5 1 1